Theoretical powder XRD pattern
Compound: Na3Sc2P3O12
Radiation: λ = 1.5418 Å (Cu Kα)
Structure: the PBE geometry in Alexandria

Largest 10 diffraction maxima, in order of falling intensity, 2θ = 10–90°:
- d 3.858, 23.1 deg, I = 100, hkl 3 1 -2
- d 2.927, 30.5 deg, I = 94, hkl 0 2 2
- d 3.896, 22.8 deg, I = 77, hkl 0 2 1
- d 2.942, 30.4 deg, I = 54, hkl 3 1 1
- d 6.492, 13.6 deg, I = 51, hkl 2 0 0
- d 3.222, 27.7 deg, I = 43, hkl 2 2 -2
- d 2.907, 30.8 deg, I = 41, hkl 3 1 -3
- d 4.605, 19.3 deg, I = 36, hkl 2 0 -2
- d 2.601, 34.5 deg, I = 35, hkl 3 3 -1
- d 4.658, 19.1 deg, I = 32, hkl 1 1 1

Cell and atoms:
```
data_Na3Sc2P3O12
_chemical_formula_sum 'Na12 Sc8 P12 O48'
_symmetry_space_group_name_H-M 'C 1 c 1'
_symmetry_Int_Tables_number 9
_cell_length_a 15.5488
_cell_length_b 9.0175
_cell_length_c 9.2227
_cell_angle_alpha 90.00
_cell_angle_beta 123.37
_cell_angle_gamma 90.00
loop_
_symmetry_equiv_pos_as_xyz
'x,y,z'
'x,-y,z+1/2'
'x+1/2,y+1/2,z'
'x+1/2,-y+1/2,z+1/2'
loop_
_atom_site_label
_atom_site_fract_x
_atom_site_fract_y
_atom_site_fract_z
Na1 0.0000 0.0753 0.0000
Na2 0.1399 0.3521 0.7629
Na3 0.3369 0.1108 0.0907
Sc1 0.2273 0.2532 0.2680
Sc2 0.4267 0.2468 0.8706
P1 0.1865 0.1102 0.5820
P2 0.3309 0.4556 0.0727
P3 0.4692 0.1097 0.5611
O1 0.0724 0.3148 0.1186
O2 0.0816 0.1782 0.5294
O3 0.1826 0.0601 0.1055
O4 0.2104 0.1333 0.4420
O5 0.2550 0.3492 0.0813
O6 0.2661 0.4487 0.4069
O7 0.2707 0.1833 0.7571
O8 0.3845 0.1838 0.3884
O9 0.3921 0.4468 0.7363
O10 0.4097 0.3613 0.0583
O11 0.4435 0.1276 0.7001
O12 0.4754 0.0602 0.0399
```